(1)
Starting from DFT lattice parameters and positions (PBE), the powder XRD pattern of Ac3Bi3H2 was computed for λ = 1.5418 Å (Cu Kα).

Structure:
```
data_Ac3Bi3H2
_chemical_formula_sum 'Ac3 Bi3 H2'
_cell_length_a 3.8932
_cell_length_b 6.0983
_cell_length_c 10.1047
_cell_angle_alpha 79.68
_cell_angle_beta 79.23
_cell_angle_gamma 90.00
_symmetry_space_group_name_H-M 'P -1'
_symmetry_Int_Tables_number 2
_symmetry_space_group_name_Hall '-P 1'
loop_
_atom_site_label
_atom_site_type_symbol
_atom_site_fract_x
_atom_site_fract_y
_atom_site_fract_z
Ac1 Ac 0.0000 0.0000 0.0000
Ac2 Ac 0.1742 0.6009 0.6575
Bi1 Bi 0.3438 0.9143 0.3076
Bi2 Bi 0.5000 0.5000 0.0000
H1 H 0.2625 0.3947 0.4735
```

The 8 most intense peaks (10 to 80 degrees two-theta), by angle:
27.41 deg, I = 100
29.31 deg, I = 69
29.41 deg, I = 66
29.53 deg, I = 53
31.79 deg, I = 61
31.93 deg, I = 61
52.42 deg, I = 34
53.02 deg, I = 37

---

(2)
Starting from DFT lattice parameters and positions (PBE), the powder XRD pattern of BaNaNdSeO6 was computed for λ = 1.5418 Å (Cu Kα).

Structure:
```
data_BaNaNdSeO6
_chemical_formula_sum 'Ba4 Na4 Nd4 Se4 O24'
_cell_length_a 8.2998
_cell_length_b 8.2998
_cell_length_c 8.2998
_cell_angle_alpha 90.00
_cell_angle_beta 90.00
_cell_angle_gamma 90.00
_symmetry_space_group_name_H-M 'F -4 3 m'
_symmetry_Int_Tables_number 216
_symmetry_space_group_name_Hall 'F -4 2 3'
loop_
_atom_site_label
_atom_site_type_symbol
_atom_site_fract_x
_atom_site_fract_y
_atom_site_fract_z
Ba1 Ba 0.0000 0.0000 0.0000
Na1 Na 0.0000 0.0000 0.5000
Nd1 Nd 0.2500 0.2500 0.2500
Se1 Se 0.2500 0.2500 0.7500
O1 O 0.0288 0.2500 0.7500
```

The 8 most intense peaks (10 to 80 degrees two-theta), by angle:
18.52 deg, I = 24
21.41 deg, I = 11
30.46 deg, I = 100
35.88 deg, I = 17
43.62 deg, I = 33
54.13 deg, I = 39
63.39 deg, I = 19
71.95 deg, I = 18

---

(3)
Starting from DFT lattice parameters and positions (PBE), the powder XRD pattern of Tl4Sn5S12 was computed for λ = 1.5418 Å (Cu Kα).

Structure:
```
data_Tl4Sn5S12
_chemical_formula_sum 'Tl8 Sn10 S24'
_cell_length_a 7.5090
_cell_length_b 9.8874
_cell_length_c 17.3214
_cell_angle_alpha 105.13
_cell_angle_beta 90.24
_cell_angle_gamma 111.85
_symmetry_space_group_name_H-M 'P -1'
_symmetry_Int_Tables_number 2
_symmetry_space_group_name_Hall '-P 1'
loop_
_atom_site_label
_atom_site_type_symbol
_atom_site_fract_x
_atom_site_fract_y
_atom_site_fract_z
Tl1 Tl 0.0827 0.3423 0.3836
Tl2 Tl 0.1273 0.0209 0.8587
Tl3 Tl 0.1852 0.7388 0.3002
Tl4 Tl 0.3989 0.0419 0.1462
Sn1 Sn 0.1873 0.6277 0.9486
Sn2 Sn 0.1912 0.0779 0.5807
Sn3 Sn 0.3159 0.3813 0.0577
Sn4 Sn 0.3824 0.5307 0.7304
Sn5 Sn 0.4868 0.1772 0.4002
S1 S 0.0271 0.8248 0.4792
S2 S 0.0292 0.8209 0.9838
S3 S 0.1624 0.5857 0.0927
S4 S 0.1749 0.0558 0.3249
S5 S 0.1930 0.6639 0.8040
S6 S 0.2318 0.2615 0.7206
S7 S 0.2911 0.3487 0.2018
S8 S 0.3091 0.9430 0.6718
S9 S 0.3290 0.4183 0.9121
S10 S 0.3762 0.5508 0.5931
S11 S 0.4619 0.1801 0.0069
S12 S 0.4825 0.7908 0.4562
```

The 8 most intense peaks (10 to 80 degrees two-theta), by angle:
20.92 deg, I = 44
21.23 deg, I = 96
21.96 deg, I = 72
24.30 deg, I = 100
25.84 deg, I = 49
28.07 deg, I = 45
29.03 deg, I = 66
30.99 deg, I = 85

---

(4)
Starting from DFT lattice parameters and positions (PBE), the powder XRD pattern of Li3Ga3Pb was computed for λ = 1.5418 Å (Cu Kα).

Structure:
```
data_Li3Ga3Pb
_chemical_formula_sum 'Li6 Ga6 Pb2'
_cell_length_a 6.9557
_cell_length_b 6.9557
_cell_length_c 6.9557
_cell_angle_alpha 90.00
_cell_angle_beta 90.00
_cell_angle_gamma 90.00
_symmetry_space_group_name_H-M 'P m -3 n'
_symmetry_Int_Tables_number 223
_symmetry_space_group_name_Hall '-P 4n 2 3'
loop_
_atom_site_label
_atom_site_type_symbol
_atom_site_fract_x
_atom_site_fract_y
_atom_site_fract_z
Li1 Li 0.0000 0.2500 0.5000
Ga1 Ga 0.0000 0.5000 0.2500
Pb1 Pb 0.0000 0.0000 0.0000
```

The 8 most intense peaks (10 to 80 degrees two-theta), by angle:
18.04 deg, I = 36
25.61 deg, I = 42
28.70 deg, I = 30
31.50 deg, I = 100
49.00 deg, I = 59
52.63 deg, I = 14
59.43 deg, I = 17
74.75 deg, I = 17

---

(5)
Starting from DFT lattice parameters and positions (PBE), the powder XRD pattern of Sm4Si9Ni7 was computed for λ = 1.5418 Å (Cu Kα).

Structure:
```
data_Sm4Si9Ni7
_chemical_formula_sum 'Sm8 Si18 Ni14'
_cell_length_a 11.1099
_cell_length_b 11.4120
_cell_length_c 5.6623
_cell_angle_alpha 90.00
_cell_angle_beta 120.12
_cell_angle_gamma 90.00
_symmetry_space_group_name_H-M 'C 1 2 1'
_symmetry_Int_Tables_number 5
_symmetry_space_group_name_Hall 'C 2y'
loop_
_atom_site_label
_atom_site_type_symbol
_atom_site_fract_x
_atom_site_fract_y
_atom_site_fract_z
Sm1 Sm 0.2348 0.0000 0.4876
Sm2 Sm 0.2425 0.7400 0.9877
Si1 Si 0.0000 0.1353 0.0000
Si2 Si 0.0000 0.6049 0.5000
Si3 Si 0.0000 0.6092 0.0000
Si4 Si 0.0000 0.8606 0.0000
Si5 Si 0.0000 0.8703 0.5000
Si6 Si 0.1391 0.2604 0.3997
Si7 Si 0.1527 0.4800 0.9048
Ni1 Ni 0.0000 0.1459 0.5000
Ni2 Ni 0.0000 0.3764 0.0000
Ni3 Ni 0.0000 0.3844 0.5000
Ni4 Ni 0.1104 0.9966 0.8696
Ni5 Ni 0.1163 0.7349 0.3706
```

The 8 most intense peaks (10 to 80 degrees two-theta), by angle:
24.06 deg, I = 28
31.35 deg, I = 25
35.73 deg, I = 59
35.96 deg, I = 60
36.66 deg, I = 100
37.00 deg, I = 30
45.12 deg, I = 69
58.84 deg, I = 26

---

(6)
Starting from DFT lattice parameters and positions (PBE), the powder XRD pattern of Ca7Ag2HgN2 was computed for λ = 1.5418 Å (Cu Kα).

Structure:
```
data_Ca7Ag2HgN2
_chemical_formula_sum 'Ca14 Ag4 Hg2 N4'
_cell_length_a 4.8473
_cell_length_b 4.8473
_cell_length_c 25.5515
_cell_angle_alpha 90.00
_cell_angle_beta 90.00
_cell_angle_gamma 90.00
_symmetry_space_group_name_H-M 'I 4/m m m'
_symmetry_Int_Tables_number 139
_symmetry_space_group_name_Hall '-I 4 2'
loop_
_atom_site_label
_atom_site_type_symbol
_atom_site_fract_x
_atom_site_fract_y
_atom_site_fract_z
Ca1 Ca 0.0000 0.0000 0.0000
Ca2 Ca 0.0000 0.0000 0.1949
Ca3 Ca 0.0000 0.5000 0.0975
Ag1 Ag 0.0000 0.0000 0.3166
Hg1 Hg 0.0000 0.0000 0.5000
N1 N 0.0000 0.0000 0.1004
```

The 8 most intense peaks (10 to 80 degrees two-theta), by angle:
18.63 deg, I = 44
25.32 deg, I = 52
26.00 deg, I = 47
29.58 deg, I = 47
33.56 deg, I = 100
37.09 deg, I = 61
52.01 deg, I = 31
64.62 deg, I = 28